# LaYCr2O8
Computed powder XRD pattern, a wavelength of 1.5418 Å. Input: a structure optimized by DFT (PBE+U).
Peak positions follow from Bragg's law for the DFT cell and can differ from measured ones.

Structure:
Cell: 7.383 7.383 6.419 Å, 90.00 90.00 90.00°
Space group I-4m2 (No. 119)
Unique sites:
1 La 0.000 0.000 0.000
2 Y 0.000 0.500 0.250
3 Cr 0.000 0.000 0.500
4 Cr 0.000 0.500 0.750
5 O 0.000 0.185 0.335
6 O 0.000 0.323 0.925

Principal peaks in the range 2θ from 10° to 80°, in order of rising 2θ:
two_theta  Rel. int.
18.31  18
24.11  100
32.75  64
34.36  19
39.20  12
48.20  56
49.37  15
55.68  12
60.52  17
71.48  12